Entry 1:
Structure and computed X-ray diffraction stick pattern of Tl2PO4 (a cell relaxed with GGA-PBE; λ = 1.5418 Å (Cu Kα)).
Intensities are scaled so that the largest is 100.

Structural model:
```
28
Lattice="5.505 0.000 0.000 0.000 6.393 0.000 -3.329 0.000 17.061" Properties=species:S:1:pos:R:3 pbc="T T T"
Tl 0.000 0.475 0.000
Tl -1.665 5.918 8.531
Tl -1.666 2.559 14.520
Tl -0.002 3.834 5.989
Tl 0.520 2.683 9.959
Tl 2.185 3.710 1.428
Tl 2.261 0.970 4.621
Tl 0.596 5.422 13.152
P -0.666 0.569 3.647
P -2.330 5.823 12.178
P 2.748 2.623 7.646
P 1.084 3.769 16.177
O -1.235 2.704 7.940
O -2.900 3.689 16.471
O 0.333 0.053 2.626
O -1.331 6.339 11.156
O 0.170 1.132 4.903
O -1.494 5.261 13.434
O 0.323 2.490 16.629
O 1.988 3.902 8.098
O 2.102 1.366 8.284
O 0.437 5.026 16.814
O 2.590 2.591 6.050
O 0.926 3.801 14.580
O 3.873 1.711 3.176
O 2.208 4.682 11.706
O 2.184 0.526 12.791
O 3.849 5.867 4.261
```

Main lines, in order of falling intensity (10° ≤ 2θ ≤ 80°):
- 2θ = 25.1°, d = 3.548 Å, intensity 100.0
- 2θ = 22.5°, d = 3.948 Å, intensity 85.5
- 2θ = 20.9°, d = 4.256 Å, intensity 73.9
- 2θ = 22.9°, d = 3.883 Å, intensity 64.6
- 2θ = 28.4°, d = 3.142 Å, intensity 55.8
- 2θ = 21.5°, d = 4.126 Å, intensity 51.4
- 2θ = 25.3°, d = 3.518 Å, intensity 50.0
- 2θ = 32.7°, d = 2.742 Å, intensity 45.2

---

Entry 2:
Structure and computed X-ray diffraction stick pattern of Tl2PO4 (a cell relaxed with GGA-PBE; λ = 1.5418 Å (Cu Kα)).
Intensities are scaled so that the largest is 100.

Structural model:
```
28
Lattice="5.042 0.000 0.000 0.000 5.977 0.000 -2.527 0.000 16.426" Properties=species:S:1:pos:R:3 pbc="T T T"
Tl 0.000 0.010 0.000
Tl -1.263 5.967 8.213
Tl 2.576 2.626 0.088
Tl 1.313 3.351 8.301
Tl 2.639 0.121 2.796
Tl 1.376 5.855 11.009
Tl 2.109 2.850 13.093
Tl 3.373 3.127 4.880
P -1.039 2.540 10.548
P 0.224 3.436 2.335
P 0.963 0.913 6.185
P -0.301 5.064 14.398
O -1.321 2.500 8.998
O -0.057 3.477 0.786
O -1.514 1.227 11.232
O -0.250 4.750 3.019
O -1.280 0.271 14.253
O -0.017 5.706 6.040
O 0.233 2.300 6.159
O -1.030 3.676 14.372
O 0.527 2.630 10.706
O 1.790 3.347 2.493
O 1.582 0.899 7.647
O 0.318 5.078 15.859
O 2.135 0.856 5.164
O 0.872 5.120 13.377
O 4.579 2.196 2.965
O 3.315 3.781 11.178
```

Main lines, in order of falling intensity (10° ≤ 2θ ≤ 80°):
- 2θ = 26.8°, d = 3.324 Å, intensity 100.0
- 2θ = 30.0°, d = 2.982 Å, intensity 98.1
- 2θ = 36.0°, d = 2.492 Å, intensity 33.0
- 2θ = 26.3°, d = 3.385 Å, intensity 25.6
- 2θ = 32.7°, d = 2.738 Å, intensity 25.4
- 2θ = 24.5°, d = 3.636 Å, intensity 19.8
- 2θ = 47.5°, d = 1.914 Å, intensity 18.3
- 2θ = 35.9°, d = 2.503 Å, intensity 17.2